Starting from a DFT-relaxed cell (PBE, Alexandria), the X-ray diffraction stick pattern of Pm8Pr3Y was simulated for copper Kα.
Peak positions follow from Bragg's law for the DFT cell and can differ from measured ones.

Crystal structure
Cell lengths 8.548, 8.548, 8.548 Å; angles 117.40, 117.40, 94.57 degrees
Sites, in units of the cell vectors:
Pm  0.125  0.125  0.752
Pm  0.242  0.242  0.495
Pm  0.254  0.758  0.000
Pm  0.373  0.373  0.248
Pm  0.627  0.875  0.000
Pm  0.746  0.746  0.505
Pm  0.758  0.254  0.000
Pm  0.875  0.627  0.000
Pr  0.250  0.750  0.500
Pr  0.500  0.500  0.000
Pr  0.750  0.250  0.500
Y  0.000  0.000  0.000

Principal peaks in the range 2θ from 10° to 80°, most intense first:
- 35.51°, I = 100.0
- 28.42°, I = 84.2
- 30.84°, I = 79.3
- 25.26°, I = 76.8
- 23.68°, I = 75.8
- 43.63°, I = 69.6
- 42.44°, I = 56.1
- 32.32°, I = 34.7
- 67.89°, I = 32.6
- 55.05°, I = 29.3